SmGdB12: computed powder XRD pattern (Cu Ka), based on the PBE geometry in the Materials Project.

The 12 most intense peaks (15° ≤ 2θ ≤ 90°), by angle:
h k l, d_spacing, Rel. int.
1 1 0, 4.119, 68
2 0 0, 2.912, 100
2 0 1, 2.378, 42
2 2 0, 2.059, 21
3 1 0, 1.842, 50
3 1 1, 1.681, 28
4 0 0, 1.456, 10
4 0 1, 1.373, 28
4 2 0, 1.302, 20
4 2 1, 1.242, 13
5 1 0, 1.142, 9
5 1 1, 1.101, 18

Structural model:
Cell lengths 5.8248, 5.8248, 4.1189 Å; angles 90.00, 90.00, 90.00 degrees
Space group P4/mmm (No. 123)
Symmetry-distinct sites (fractional):
Sm 0.0000 0.0000 0.0000 [1 per cell]
Gd 0.5000 0.5000 0.0000 [1 per cell]
B 0.0000 0.5000 0.1993 [4 per cell]
B 0.1504 0.3497 0.5000 [8 per cell]

Mg6BSb: computed powder XRD pattern (Cu Ka), based on the PBE geometry in the Materials Project.

The 12 most intense peaks (15° ≤ 2θ ≤ 90°), by angle:
h k l, d_spacing, Rel. int.
0 1 1, 5.414, 47
1 0 0, 4.480, 29
1 0 2, 3.691, 33
0 1 3, 3.509, 42
1 1 1, 3.451, 63
0 0 4, 3.258, 28
0 2 2, 2.707, 37
1 0 4, 2.635, 71
1 2 2, 2.317, 100
2 0 0, 2.240, 30
0 2 6, 1.754, 22
2 2 6, 1.381, 24

Structural model:
Cell lengths 4.4796, 5.9515, 13.0326 Å; angles 90.00, 90.00, 90.00 degrees
Space group Amm2 (No. 38)
Symmetry-distinct sites (fractional):
Mg 0.0000 0.0000 0.0000 [2 per cell]
Mg 0.0000 0.2244 0.7189 [4 per cell]
Mg 0.5000 0.0000 0.1451 [2 per cell]
Mg 0.5000 0.2467 0.8856 [4 per cell]
B 0.5000 0.0000 0.7415 [2 per cell]
Sb 0.0000 0.0000 0.4797 [2 per cell]

CrFe3B2: computed powder XRD pattern (Cu Ka), based on the PBE geometry in the Materials Project.

The 12 most intense peaks (15° ≤ 2θ ≤ 90°), by angle:
h k l, d_spacing, Rel. int.
0 0 2, 3.582, 10
0 2 2, 2.549, 29
2 0 0, 2.088, 42
1 3 1, 2.009, 100
1 1 3, 1.993, 91
0 4 2, 1.619, 12
2 2 2, 1.615, 22
0 2 4, 1.606, 14
2 2 4, 1.273, 8
3 3 1, 1.190, 29
3 1 3, 1.187, 14
1 3 5, 1.182, 12

Structural model:
Cell lengths 4.1766, 7.2582, 7.1637 Å; angles 90.00, 90.00, 90.00 degrees
Space group Fmm2 (No. 42)
Symmetry-distinct sites (fractional):
Cr 0.0000 0.0000 0.0000 [4 per cell]
Fe 0.0000 0.0000 0.6760 [4 per cell]
Fe 0.0000 0.1659 0.3421 [8 per cell]
B 0.2500 0.2500 0.0922 [8 per cell]

Ag2Se: computed powder XRD pattern (Cu Ka), based on the PBE geometry in the Materials Project.

The 12 most intense peaks (15° ≤ 2θ ≤ 90°), by angle:
h k l, d_spacing, Rel. int.
1 0 2, 2.918, 20
1 2 0, 2.790, 20
1 1 2, 2.700, 100
1 2 1, 2.622, 96
0 1 3, 2.406, 28
0 3 1, 2.265, 31
1 2 2, 2.256, 19
2 0 1, 2.158, 29
1 1 3, 2.122, 27
2 1 1, 2.065, 20
0 3 2, 2.017, 22
1 2 3, 1.885, 13

Structural model:
Cell lengths 4.4975, 7.1133, 7.6707 Å; angles 90.00, 90.00, 90.00 degrees
Space group P2_12_12_1 (No. 19)
Symmetry-distinct sites (fractional):
Ag 0.0220 0.2265 0.3646 [4 per cell]
Ag 0.1545 0.6151 0.5476 [4 per cell]
Se 0.1212 0.9968 0.6544 [4 per cell]

Er12Re5C15: computed powder XRD pattern (Cu Ka), based on the PBE geometry in the Materials Project.

The 12 most intense peaks (15° ≤ 2θ ≤ 90°), by angle:
h k l, d_spacing, Rel. int.
2 1 1, 2.870, 100
3 0 1, 2.628, 22
3 1 0, 2.563, 40
0 0 2, 2.517, 36
2 2 1, 2.357, 14
3 1 1, 2.284, 8
4 1 1, 1.872, 7
3 1 2, 1.796, 28
2 1 3, 1.513, 15
3 3 2, 1.454, 11
6 1 1, 1.357, 8
3 1 4, 1.130, 8

Structural model:
Cell lengths 10.6716, 10.6716, 5.0340 Å; angles 90.00, 90.00, 120.00 degrees
Space group P-62m (No. 189)
Symmetry-distinct sites (fractional):
Er 0.0000 0.2052 0.0000 [3 per cell]
Er 0.0000 0.5739 0.0000 [3 per cell]
Er 0.1852 0.4553 0.5000 [6 per cell]
Re 0.0000 0.8480 0.5000 [3 per cell]
Re 0.3333 0.6667 0.0000 [2 per cell]
C 0.0000 0.2166 0.5000 [3 per cell]
C 0.0000 0.5387 0.5000 [3 per cell]
C 0.0000 0.6661 0.5000 [3 per cell]
C 0.1899 0.4663 0.0000 [6 per cell]

ThP2Ru2: computed powder XRD pattern (Cu Ka), based on the PBE geometry in the Materials Project.

The 12 most intense peaks (15° ≤ 2θ ≤ 90°), by angle:
h k l, d_spacing, Rel. int.
0 1 1, 3.874, 21
2 0 0, 3.791, 17
2 1 0, 2.804, 25
2 1 1, 2.709, 41
1 1 3, 2.530, 100
1 0 4, 2.487, 26
3 0 2, 2.278, 33
3 1 1, 2.117, 14
0 2 0, 2.083, 29
1 2 4, 1.597, 14
3 2 2, 1.537, 19
4 1 5, 1.335, 14

Structural model:
Cell lengths 7.5821, 4.1659, 10.5296 Å; angles 90.00, 90.00, 90.00 degrees
Space group Pnma (No. 62)
Symmetry-distinct sites (fractional):
Th 0.2332 0.2500 0.1687 [4 per cell]
P 0.0294 0.7500 0.3402 [4 per cell]
P 0.0952 0.7500 0.9698 [4 per cell]
Ru 0.1102 0.2500 0.4505 [4 per cell]
Ru 0.1326 0.2500 0.8678 [4 per cell]

TbCeO4: computed powder XRD pattern (Cu Ka), based on the PBE geometry in the Materials Project.

The 9 most intense peaks (15° ≤ 2θ ≤ 90°), by angle:
h k l, d_spacing, Rel. int.
0 0 2, 3.160, 100
4 0 0, 2.737, 30
2 2 2, 1.935, 54
6 2 -4, 1.650, 45
4 4 0, 1.580, 9
8 0 0, 1.368, 8
4 0 -6, 1.256, 18
6 2 2, 1.224, 12
8 4 0, 1.117, 17

Structural model:
Cell lengths 13.4076, 7.7409, 7.7409 Å; angles 90.00, 125.26, 90.00 degrees
Space group Cm (No. 8)
Symmetry-distinct sites (fractional):
Tb 0.0000 0.0000 0.0000 [2 per cell]
Tb 0.0000 0.0000 0.5000 [2 per cell]
Tb 0.2500 0.2500 0.0000 [4 per cell]
Ce 0.0000 0.5000 0.0000 [2 per cell]
Ce 0.0000 0.5000 0.5000 [2 per cell]
Ce 0.2500 0.2500 0.5000 [4 per cell]
O 0.1174 0.5000 0.8674 [2 per cell]
O 0.1250 0.0000 0.8750 [2 per cell]
O 0.1250 0.2576 0.1326 [4 per cell]
O 0.1250 0.2576 0.6174 [4 per cell]
O 0.1250 0.5000 0.3750 [2 per cell]
O 0.1326 0.0000 0.3826 [2 per cell]
O 0.3674 0.5000 0.6174 [2 per cell]
O 0.3750 0.0000 0.6250 [2 per cell]
O 0.3750 0.2424 0.3826 [4 per cell]
O 0.3750 0.2513 0.8763 [4 per cell]
O 0.3750 0.5000 0.1250 [2 per cell]
O 0.3826 0.0000 0.1326 [2 per cell]

AcDy3: computed powder XRD pattern (Cu Ka), based on the PBE geometry in the Materials Project.

The 12 most intense peaks (15° ≤ 2θ ≤ 90°), by angle:
h k l, d_spacing, Rel. int.
1 0 0, 5.165, 2
1 1 0, 3.652, 2
1 1 1, 2.982, 100
2 0 0, 2.582, 51
2 1 0, 2.310, 1
2 1 1, 2.108, 1
2 2 0, 1.826, 37
3 1 1, 1.557, 44
2 2 2, 1.491, 13
4 0 0, 1.291, 6
3 3 1, 1.185, 18
4 2 0, 1.155, 17

Structural model:
Cell lengths 5.1645, 5.1645, 5.1645 Å; angles 90.00, 90.00, 90.00 degrees
Space group Pm-3m (No. 221)
Symmetry-distinct sites (fractional):
Ac 0.0000 0.0000 0.0000 [1 per cell]
Dy 0.0000 0.5000 0.5000 [3 per cell]

TbB2Os: computed powder XRD pattern (Cu Ka), based on the PBE geometry in the Materials Project.

The 12 most intense peaks (15° ≤ 2θ ≤ 90°), by angle:
h k l, d_spacing, Rel. int.
0 0 2, 3.196, 31
1 0 2, 2.813, 24
0 2 0, 2.670, 68
2 1 0, 2.591, 29
1 1 2, 2.489, 84
2 1 1, 2.401, 100
0 2 2, 2.049, 23
1 2 2, 1.937, 18
1 1 3, 1.877, 21
2 3 1, 1.484, 22
3 0 3, 1.449, 20
3 2 3, 1.273, 28

Structural model:
Cell lengths 5.9266, 5.3404, 6.3911 Å; angles 90.00, 90.00, 90.00 degrees
Space group Pnma (No. 62)
Symmetry-distinct sites (fractional):
Tb 0.0098 0.2500 0.1639 [4 per cell]
B 0.1360 0.5828 0.4604 [8 per cell]
Os 0.1763 0.2500 0.6806 [4 per cell]

Te4MoW2Se2: computed powder XRD pattern (Cu Ka), based on the PBE geometry in the Materials Project.

The 12 most intense peaks (15° ≤ 2θ ≤ 90°), by angle:
h k l, d_spacing, Rel. int.
1 0 0, 3.015, 60
1 0 2, 2.963, 22
1 0 4, 2.821, 33
1 0 6, 2.625, 80
1 0 7, 2.517, 100
1 0 9, 2.300, 34
1 0 10, 2.195, 38
1 0 11, 2.095, 84
1 1 0, 1.741, 54
1 1 4, 1.701, 19
2 0 11, 1.339, 20
1 1 17, 1.279, 26

Structural model:
Cell lengths 3.4809, 3.4809, 32.0351 Å; angles 90.00, 90.00, 120.00 degrees
Space group P-6m2 (No. 187)
Symmetry-distinct sites (fractional):
Te 0.0000 0.0000 0.1737 [2 per cell]
Te 0.0000 0.0000 0.2890 [2 per cell]
Mo 0.0000 0.0000 0.0000 [1 per cell]
W 0.6667 0.3333 0.2313 [2 per cell]
Se 0.6667 0.3333 0.0507 [2 per cell]

Sr3H: computed powder XRD pattern (Cu Ka), based on the PBE geometry in the Materials Project.

The 12 most intense peaks (15° ≤ 2θ ≤ 90°), by angle:
h k l, d_spacing, Rel. int.
1 0 1, 4.767, 33
1 1 0, 3.933, 14
2 0 0, 3.406, 23
0 0 2, 3.336, 29
2 0 1, 3.034, 100
2 1 1, 2.402, 11
2 0 2, 2.383, 17
2 2 0, 1.967, 19
2 0 3, 1.862, 24
2 2 2, 1.694, 23
4 0 1, 1.650, 16
4 2 1, 1.264, 13

Structural model:
Cell lengths 7.8662, 7.8662, 6.6726 Å; angles 90.00, 90.00, 120.00 degrees
Space group P6_3/mmc (No. 194)
Symmetry-distinct sites (fractional):
Sr 0.1671 0.3343 0.2500 [6 per cell]
H 0.3333 0.6667 0.7500 [2 per cell]

Copy entry 2 word for word.
Mg6BSb: computed powder XRD pattern (Cu Ka), based on the PBE geometry in the Materials Project.

The 12 most intense peaks (15° ≤ 2θ ≤ 90°), by angle:
h k l, d_spacing, Rel. int.
0 1 1, 5.414, 47
1 0 0, 4.480, 29
1 0 2, 3.691, 33
0 1 3, 3.509, 42
1 1 1, 3.451, 63
0 0 4, 3.258, 28
0 2 2, 2.707, 37
1 0 4, 2.635, 71
1 2 2, 2.317, 100
2 0 0, 2.240, 30
0 2 6, 1.754, 22
2 2 6, 1.381, 24

Structural model:
Cell lengths 4.4796, 5.9515, 13.0326 Å; angles 90.00, 90.00, 90.00 degrees
Space group Amm2 (No. 38)
Symmetry-distinct sites (fractional):
Mg 0.0000 0.0000 0.0000 [2 per cell]
Mg 0.0000 0.2244 0.7189 [4 per cell]
Mg 0.5000 0.0000 0.1451 [2 per cell]
Mg 0.5000 0.2467 0.8856 [4 per cell]
B 0.5000 0.0000 0.7415 [2 per cell]
Sb 0.0000 0.0000 0.4797 [2 per cell]